Record 1
Hf2Al3C4: simulated powder X-ray diffraction pattern (Cu Kα, 1.54184 Å), based on a structure optimized by DFT (PBE).
No peak broadening, texture or thermal motion is included.

Cell and atoms:
```
data_Hf2Al3C4
_chemical_formula_sum 'Hf4 Al6 C8'
_cell_length_a 3.3358
_cell_length_b 3.3358
_cell_length_c 22.1664
_cell_angle_alpha 90.00
_cell_angle_beta 90.00
_cell_angle_gamma 120.00
_symmetry_space_group_name_H-M 'P 63/m m c'
_symmetry_Int_Tables_number 194
_symmetry_space_group_name_Hall '-P 6c 2c'
loop_
_atom_site_label
_atom_site_fract_x
_atom_site_fract_y
_atom_site_fract_z
Hf1 0.3333 0.6667 0.0576
Al1 0.0000 0.0000 0.1585
Al2 0.3333 0.6667 0.7500
C1 0.0000 0.0000 0.0000
C2 0.0000 0.0000 0.2500
C3 0.3333 0.6667 0.6268
```

Largest 6 diffraction maxima, by angle, 2θ = 10–90°:
h k l, d (Å), two_theta, I (rel.)
1 0 2, 2.795, 32.0, 28
1 0 3, 2.691, 33.3, 100
1 0 5, 2.420, 37.1, 78
1 0 7, 2.134, 42.4, 29
1 1 0, 1.668, 55.1, 33
1 1 10, 1.333, 70.7, 22

Record 2
Hf2Al4C5: simulated powder X-ray diffraction pattern (Cu Kα, 1.54184 Å), based on a structure optimized by DFT (PBE).
No peak broadening, texture or thermal motion is included.

Cell and atoms:
```
data_Hf2Al4C5
_chemical_formula_sum 'Hf6 Al12 C15'
_cell_length_a 3.3315
_cell_length_b 3.3315
_cell_length_c 40.9759
_cell_angle_alpha 90.00
_cell_angle_beta 90.00
_cell_angle_gamma 120.00
_symmetry_space_group_name_H-M 'R -3 m'
_symmetry_Int_Tables_number 166
_symmetry_space_group_name_Hall '-R 3 2"'
loop_
_atom_site_label
_atom_site_fract_x
_atom_site_fract_y
_atom_site_fract_z
Hf1 0.0000 0.0000 0.1343
Al1 0.0000 0.0000 0.3105
Al2 0.0000 0.0000 0.4117
C1 0.0000 0.0000 0.2329
C2 0.0000 0.0000 0.3641
C3 0.0000 0.0000 0.5000
```

Largest 6 diffraction maxima, by angle, 2θ = 10–90°:
h k l, d (Å), two_theta, I (rel.)
1 0 4, 2.777, 32.2, 87
1 0 7, 2.588, 34.7, 66
0 1 8, 2.514, 35.7, 42
0 1 11, 2.280, 39.5, 100
1 1 0, 1.666, 55.1, 37
2 0 11, 1.345, 70.0, 37

Record 3
Hf3Al3C5: simulated powder X-ray diffraction pattern (Cu Kα, 1.54184 Å), based on a structure optimized by DFT (PBE).
No peak broadening, texture or thermal motion is included.

Cell and atoms:
```
data_Hf3Al3C5
_chemical_formula_sum 'Hf6 Al6 C10'
_cell_length_a 3.3296
_cell_length_b 3.3296
_cell_length_c 27.5084
_cell_angle_alpha 90.00
_cell_angle_beta 90.00
_cell_angle_gamma 120.00
_symmetry_space_group_name_H-M 'P 63/m m c'
_symmetry_Int_Tables_number 194
_symmetry_space_group_name_Hall '-P 6c 2c'
loop_
_atom_site_label
_atom_site_fract_x
_atom_site_fract_y
_atom_site_fract_z
Hf1 0.0000 0.0000 0.0000
Hf2 0.3333 0.6667 0.0942
Al1 0.0000 0.0000 0.2500
Al2 0.3333 0.6667 0.6762
C1 0.0000 0.0000 0.1505
C2 0.3333 0.6667 0.5495
C3 0.3333 0.6667 0.7500
```

Largest 6 diffraction maxima, by angle, 2θ = 10–90°:
h k l, d (Å), two_theta, I (rel.)
0 0 10, 2.751, 32.6, 100
1 0 4, 2.659, 33.7, 73
1 0 6, 2.441, 36.8, 57
1 0 7, 2.325, 38.7, 49
1 1 0, 1.665, 55.2, 40
1 1 10, 1.424, 65.5, 32

Record 4
Hf3Al4C6: simulated powder X-ray diffraction pattern (Cu Kα, 1.54184 Å), based on a structure optimized by DFT (PBE).
No peak broadening, texture or thermal motion is included.

Cell and atoms:
```
data_Hf3Al4C6
_chemical_formula_sum 'Hf9 Al12 C18'
_cell_length_a 3.3267
_cell_length_b 3.3267
_cell_length_c 48.9746
_cell_angle_alpha 90.00
_cell_angle_beta 90.00
_cell_angle_gamma 120.00
_symmetry_space_group_name_H-M 'R -3 m'
_symmetry_Int_Tables_number 166
_symmetry_space_group_name_Hall '-R 3 2"'
loop_
_atom_site_label
_atom_site_fract_x
_atom_site_fract_y
_atom_site_fract_z
Hf1 0.0000 0.0000 0.0000
Hf2 0.0000 0.0000 0.3875
Al1 0.0000 0.0000 0.1476
Al2 0.0000 0.0000 0.2322
C1 0.0000 0.0000 0.0825
C2 0.0000 0.0000 0.1924
C3 0.0000 0.0000 0.3059
```

Largest 6 diffraction maxima, by angle, 2θ = 10–90°:
h k l, d (Å), two_theta, I (rel.)
0 1 5, 2.764, 32.4, 100
0 1 8, 2.607, 34.4, 72
1 0 10, 2.483, 36.2, 45
1 0 13, 2.289, 39.4, 93
1 1 0, 1.663, 55.2, 41
0 1 26, 1.577, 58.5, 27

Copy entry 2 word for word.
Hf2Al4C5: simulated powder X-ray diffraction pattern (Cu Kα, 1.54184 Å), based on a structure optimized by DFT (PBE).
No peak broadening, texture or thermal motion is included.

Cell and atoms:
```
data_Hf2Al4C5
_chemical_formula_sum 'Hf6 Al12 C15'
_cell_length_a 3.3315
_cell_length_b 3.3315
_cell_length_c 40.9759
_cell_angle_alpha 90.00
_cell_angle_beta 90.00
_cell_angle_gamma 120.00
_symmetry_space_group_name_H-M 'R -3 m'
_symmetry_Int_Tables_number 166
_symmetry_space_group_name_Hall '-R 3 2"'
loop_
_atom_site_label
_atom_site_fract_x
_atom_site_fract_y
_atom_site_fract_z
Hf1 0.0000 0.0000 0.1343
Al1 0.0000 0.0000 0.3105
Al2 0.0000 0.0000 0.4117
C1 0.0000 0.0000 0.2329
C2 0.0000 0.0000 0.3641
C3 0.0000 0.0000 0.5000
```

Largest 6 diffraction maxima, by angle, 2θ = 10–90°:
h k l, d (Å), two_theta, I (rel.)
1 0 4, 2.777, 32.2, 87
1 0 7, 2.588, 34.7, 66
0 1 8, 2.514, 35.7, 42
0 1 11, 2.280, 39.5, 100
1 1 0, 1.666, 55.1, 37
2 0 11, 1.345, 70.0, 37

- What is the formula in the fourth record?
  Hf3Al4C6